Record 1
This entry pairs a crystal structure of CuAgTe with its calculated X-ray powder pattern. Radiation: Cu Kα. Structure: the PBE geometry in the Materials Project.
Peak positions follow from Bragg's law for the DFT cell and can differ from measured ones.

Most intense lines, 10° ≤ 2θ ≤ 80°, by angle:
(1 1 1), 23.8 deg, intensity 46; (2 0 0), 27.5 deg, intensity 5; (2 2 0), 39.3 deg, intensity 100; (3 1 1), 46.4 deg, intensity 23; (2 2 2), 48.6 deg, intensity 1; (4 0 0), 56.8 deg, intensity 16; (3 3 1), 62.4 deg, intensity 9; (4 2 0), 64.2 deg, intensity 1; (4 2 2), 71.2 deg, intensity 32; (5 1 1), 76.3 deg, intensity 7

Structure:
Lattice parameters (Å, degrees): 6.486 6.486 6.486 90.00 90.00 90.00
Positions (direct):
1 Cu 0.000 0.000 0.000
2 Cu 0.000 0.500 0.500
3 Cu 0.500 0.000 0.500
4 Cu 0.500 0.500 0.000
5 Ag 0.000 0.000 0.500
6 Ag 0.000 0.500 0.000
7 Ag 0.500 0.000 0.000
8 Ag 0.500 0.500 0.500
9 Te 0.250 0.250 0.250
10 Te 0.250 0.750 0.750
11 Te 0.750 0.250 0.750
12 Te 0.750 0.750 0.250

---

Record 2
This entry pairs a crystal structure of CuAgTe2 with its calculated X-ray powder pattern. Radiation: Cu Kα. Structure: the PBE geometry in the Materials Project.
Peak positions follow from Bragg's law for the DFT cell and can differ from measured ones.

Most intense lines, 10° ≤ 2θ ≤ 80°, by angle:
(0 0 1), 11.6 deg, intensity 73; (0 1 1), 23.8 deg, intensity 61; (1 0 1), 30.7 deg, intensity 89; (0 1 2), 31.4 deg, intensity 38; (1 1 1), 37.3 deg, intensity 49; (0 1 3), 41.3 deg, intensity 57; (0 2 0), 42.1 deg, intensity 35; (1 1 2), 42.8 deg, intensity 100; (1 2 1), 53.0 deg, intensity 37; (2 1 3), 74.2 deg, intensity 19

Structure:
Lattice parameters (Å, degrees): 3.149 4.290 7.612 90.00 90.00 90.00
Positions (direct):
1 Cu 0.000 0.000 0.000
2 Ag 0.500 0.500 0.881
3 Te 0.000 0.500 0.209
4 Te 0.500 0.000 0.654